(1)
Mn3Ge3Se8: theoretical powder X-ray diffraction pattern (copper Kα), based on DFT lattice parameters and positions (GGA-PBE).

Top 10 peaks for 2θ from 10° to 80°, by angle:
d (Å)	2θ/deg	I/Imax
3.445	25.86	22
3.299	27.03	31
3.115	28.66	43
2.749	32.57	100
2.168	41.66	30
2.112	42.82	23
2.003	45.28	65
1.890	48.14	70
1.558	59.33	16
1.375	68.22	18

Atomic structure:
```
Mn3Ge3Se8
1.0
3.781 2.183 6.752
-3.781 2.183 6.752
0.000 -4.365 6.752
Mn Ge Se
3 3 8
direct
0.000 0.500 0.500
0.500 0.000 0.500
0.500 0.500 0.000
0.126 0.126 0.126
0.500 0.500 0.500
0.874 0.874 0.874
0.249 0.249 0.721
0.249 0.721 0.249
0.270 0.270 0.270
0.279 0.751 0.751
0.721 0.249 0.249
0.730 0.730 0.730
0.751 0.279 0.751
0.751 0.751 0.279
```

(2)
Ti2MnGeSe: theoretical powder X-ray diffraction pattern (copper Kα), based on DFT lattice parameters and positions (GGA-PBE).

Top 10 peaks for 2θ from 10° to 80°, by angle:
d (Å)	2θ/deg	I/Imax
4.656	19.06	64
3.442	25.89	24
3.292	27.09	37
2.768	32.35	77
2.555	35.12	66
2.328	38.68	100
2.019	44.90	19
1.721	53.23	75
1.646	55.85	32
1.384	67.71	35

Atomic structure:
```
Ti2MnGeSe
1.0
4.656 0.000 0.000
0.000 4.656 0.000
0.000 0.000 5.110
Ti Mn Ge Se
2 1 1 1
direct
0.000 0.500 0.000
0.500 0.000 0.000
0.000 0.000 0.500
0.500 0.500 0.500
0.500 0.500 0.000
```

(3)
Mn5Si2Ge: theoretical powder X-ray diffraction pattern (copper Kα), based on DFT lattice parameters and positions (GGA-PBE).

Top 10 peaks for 2θ from 10° to 80°, by angle:
d (Å)	2θ/deg	I/Imax
2.424	37.08	22
2.289	39.36	17
2.279	39.54	31
2.250	40.07	25
2.070	43.73	39
2.062	43.91	95
2.016	44.96	41
2.006	45.20	15
1.991	45.57	100
1.318	71.58	25

Atomic structure:
```
Mn5Si2Ge
1.0
4.849 0.000 0.000
0.000 6.018 3.498
0.000 -6.018 3.498
Mn Si Ge
10 4 2
direct
0.000 0.000 0.000
0.000 0.260 0.496
0.000 0.496 0.260
0.254 0.586 0.916
0.254 0.916 0.586
0.500 0.011 0.252
0.500 0.252 0.011
0.500 0.503 0.503
0.746 0.586 0.916
0.746 0.916 0.586
0.000 0.652 0.652
0.500 0.252 0.647
0.500 0.647 0.252
0.500 0.856 0.856
0.000 0.253 0.857
0.000 0.857 0.253
```

(4)
YMn2SiGe: theoretical powder X-ray diffraction pattern (copper Kα), based on DFT lattice parameters and positions (GGA-PBE).

Top 10 peaks for 2θ from 10° to 80°, by angle:
d (Å)	2θ/deg	I/Imax
2.622	34.19	67
2.453	36.64	100
1.957	46.41	50
1.914	47.51	15
1.864	48.86	29
1.568	58.89	27
1.489	62.36	13
1.384	67.73	15
1.350	69.67	19
1.205	79.54	18

Atomic structure:
```
YMn2SiGe
1.0
-1.957 1.957 5.300
1.957 -1.957 5.300
1.957 1.957 -5.300
Y Mn Si Ge
1 2 1 1
direct
0.000 0.000 0.000
0.243 0.743 0.500
0.743 0.243 0.500
0.619 0.619 0.000
0.380 0.380 0.000
```

(5)
SmMnGe2: theoretical powder X-ray diffraction pattern (copper Kα), based on DFT lattice parameters and positions (GGA-PBE).

Top 10 peaks for 2θ from 10° to 80°, by angle:
d (Å)	2θ/deg	I/Imax
3.584	24.85	16
3.394	26.26	14
2.966	30.13	20
2.512	35.74	100
2.069	43.75	53
1.629	56.49	7
1.597	57.72	25
1.581	58.38	15
1.341	70.17	12
1.264	75.15	22

Atomic structure:
```
SmMnGe2
1.0
4.138 0.000 0.000
-2.069 3.584 0.000
0.000 0.000 10.567
Sm Mn Ge
2 2 4
direct
0.333 0.667 0.250
0.667 0.333 0.750
0.000 0.000 0.000
0.000 0.000 0.500
0.333 0.667 0.582
0.333 0.667 0.918
0.667 0.333 0.082
0.667 0.333 0.418
```

(6)
SmMn3Ge3: theoretical powder X-ray diffraction pattern (copper Kα), based on DFT lattice parameters and positions (GGA-PBE).

Top 10 peaks for 2θ from 10° to 80°, by angle:
d (Å)	2θ/deg	I/Imax
3.336	26.72	43
2.984	29.95	2
2.724	32.88	100
1.926	47.19	9
1.783	51.23	56
1.668	55.06	21
1.492	62.23	15
1.456	63.94	1
1.422	65.64	13
1.218	78.53	15

Atomic structure:
```
SmMn3Ge3
1.0
6.672 0.000 0.000
0.000 6.672 0.000
0.000 0.000 6.672
Sm Mn Ge
2 6 6
direct
0.000 0.000 0.000
0.500 0.500 0.500
0.000 0.250 0.500
0.000 0.750 0.500
0.250 0.500 0.000
0.500 0.000 0.250
0.500 0.000 0.750
0.750 0.500 0.000
0.000 0.500 0.250
0.000 0.500 0.750
0.250 0.000 0.500
0.500 0.250 0.000
0.500 0.750 0.000
0.750 0.000 0.500
```

(7)
SmMn6Sn4Ge2: theoretical powder X-ray diffraction pattern (copper Kα), based on DFT lattice parameters and positions (GGA-PBE).

Top 10 peaks for 2θ from 10° to 80°, by angle:
d (Å)	2θ/deg	I/Imax
2.682	33.41	100
2.467	36.42	78
2.323	38.77	41
2.285	39.43	81
2.183	41.35	21
2.051	44.16	48
1.974	45.98	35
1.504	61.69	35
1.341	70.18	31
1.279	74.11	34

Atomic structure:
```
SmMn6Sn4Ge2
1.0
5.364 0.000 0.000
-2.682 4.645 0.000
0.000 0.000 8.734
Sm Mn Sn Ge
1 6 4 2
direct
0.000 0.000 0.000
0.000 0.500 0.234
0.000 0.500 0.766
0.500 0.000 0.234
0.500 0.000 0.766
0.500 0.500 0.234
0.500 0.500 0.766
0.000 0.000 0.336
0.000 0.000 0.664
0.333 0.667 0.500
0.667 0.333 0.500
0.333 0.667 0.000
0.667 0.333 0.000
```

(8)
SmTiMnGe2: theoretical powder X-ray diffraction pattern (copper Kα), based on DFT lattice parameters and positions (GGA-PBE).

Top 10 peaks for 2θ from 10° to 80°, by angle:
d (Å)	2θ/deg	I/Imax
2.852	31.37	40
2.765	32.38	87
2.551	35.18	100
2.017	44.94	59
1.984	45.73	52
1.630	56.47	35
1.581	58.38	10
1.426	65.44	17
1.414	66.05	34
1.245	76.53	19

Atomic structure:
```
SmTiMnGe2
1.0
-2.017 2.017 5.697
2.017 -2.017 5.697
2.017 2.017 -5.697
Sm Ti Mn Ge
1 1 1 2
direct
0.000 0.000 0.000
0.250 0.750 0.500
0.750 0.250 0.500
0.387 0.387 0.000
0.613 0.613 0.000
```

(9)
MnSnGe: theoretical powder X-ray diffraction pattern (copper Kα), based on DFT lattice parameters and positions (GGA-PBE).

Top 10 peaks for 2θ from 10° to 80°, by angle:
d (Å)	2θ/deg	I/Imax
3.274	27.23	47
3.008	29.70	18
2.692	33.28	25
2.626	34.14	23
2.343	38.43	86
2.255	39.99	100
1.767	51.72	29
1.656	55.47	29
1.411	66.24	14
1.335	70.55	37

Atomic structure:
```
MnSnGe
1.0
-1.656 1.656 10.770
1.656 -1.656 10.770
1.656 1.656 -10.770
Mn Sn Ge
2 2 2
direct
0.214 0.214 0.000
0.786 0.786 0.000
0.075 0.075 0.000
0.925 0.925 0.000
0.330 0.330 0.000
0.670 0.670 0.000
```

(10)
YMn6Sn4Ge2: theoretical powder X-ray diffraction pattern (copper Kα), based on DFT lattice parameters and positions (GGA-PBE).

Top 10 peaks for 2θ from 10° to 80°, by angle:
d (Å)	2θ/deg	I/Imax
2.674	33.52	100
2.457	36.57	72
2.316	38.89	39
2.278	39.57	75
2.174	41.53	21
2.044	44.32	74
1.967	46.15	41
1.498	61.93	32
1.337	70.43	34
1.274	74.45	35

Atomic structure:
```
YMn6Sn4Ge2
1.0
5.347 0.000 0.000
-2.674 4.631 0.000
0.000 0.000 8.697
Y Mn Sn Ge
1 6 4 2
direct
0.000 0.000 0.000
0.000 0.500 0.233
0.000 0.500 0.767
0.500 0.000 0.233
0.500 0.000 0.767
0.500 0.500 0.233
0.500 0.500 0.767
0.000 0.000 0.334
0.000 0.000 0.666
0.333 0.667 0.500
0.667 0.333 0.500
0.333 0.667 0.000
0.667 0.333 0.000
```

(11)
TaMnGe2W: theoretical powder X-ray diffraction pattern (copper Kα), based on DFT lattice parameters and positions (GGA-PBE).

Top 10 peaks for 2θ from 10° to 80°, by angle:
d (Å)	2θ/deg	I/Imax
4.896	18.12	100
3.462	25.73	35
2.828	31.64	24
2.449	36.69	88
2.191	41.20	52
2.001	45.32	15
1.732	52.86	62
1.633	56.33	21
1.414	66.07	21
1.358	69.16	12

Atomic structure:
```
TaMnGe2W
1.0
4.896 0.000 0.000
0.000 4.896 0.000
0.000 0.000 4.904
Ta Mn Ge W
1 1 2 1
direct
0.000 0.000 0.000
0.500 0.500 0.500
0.000 0.500 0.000
0.500 0.000 0.000
0.000 0.000 0.500
```

(12)
Tb4MnGe8: theoretical powder X-ray diffraction pattern (copper Kα), based on DFT lattice parameters and positions (GGA-PBE).

Top 10 peaks for 2θ from 10° to 80°, by angle:
d (Å)	2θ/deg	I/Imax
3.597	24.75	13
3.300	27.02	8
2.682	33.41	13
2.551	35.18	100
2.231	40.42	13
2.093	43.23	16
2.011	45.09	14
1.450	64.25	10
1.280	74.07	11
1.242	76.75	9

Atomic structure:
```
Tb4MnGe8
1.0
4.021 0.000 0.000
0.000 4.185 0.000
0.000 0.000 16.093
Tb Mn Ge
4 1 8
direct
0.000 0.000 0.000
0.000 0.500 0.492
0.500 0.000 0.789
0.500 0.500 0.288
0.000 0.500 0.704
0.000 0.000 0.335
0.000 0.000 0.632
0.000 0.500 0.141
0.000 0.500 0.853
0.500 0.000 0.147
0.500 0.000 0.441
0.500 0.500 0.626
0.500 0.500 0.957
```

(13)
TbMn6Ge6: theoretical powder X-ray diffraction pattern (copper Kα), based on DFT lattice parameters and positions (GGA-PBE).

Top 10 peaks for 2θ from 10° to 80°, by angle:
d (Å)	2θ/deg	I/Imax
2.586	34.69	76
2.327	38.70	42
2.240	40.27	49
2.185	41.32	100
2.042	44.35	24
1.964	46.23	39
1.875	48.55	22
1.402	66.70	23
1.293	73.20	29
1.205	79.56	30

Atomic structure:
```
TbMn6Ge6
1.0
5.172 0.000 0.000
-2.586 4.479 0.000
0.000 0.000 8.170
Tb Mn Ge
1 6 6
direct
0.000 0.000 0.000
0.000 0.500 0.251
0.000 0.500 0.749
0.500 0.000 0.251
0.500 0.000 0.749
0.500 0.500 0.251
0.500 0.500 0.749
0.000 0.000 0.345
0.000 0.000 0.655
0.333 0.667 0.000
0.333 0.667 0.500
0.667 0.333 0.000
0.667 0.333 0.500
```

(14)
MnTcGe4: theoretical powder X-ray diffraction pattern (copper Kα), based on DFT lattice parameters and positions (GGA-PBE).

Top 10 peaks for 2θ from 10° to 80°, by angle:
d (Å)	2θ/deg	I/Imax
4.405	20.16	40
4.378	20.28	36
2.784	32.15	20
2.443	36.78	100
2.202	40.98	34
2.189	41.24	39
2.022	44.82	34
2.017	44.94	21
1.693	54.18	34
1.635	56.25	27

Atomic structure:
```
MnTcGe4
1.0
4.378 -4.405 0.000
4.378 4.405 0.000
0.000 0.000 2.942
Mn Tc Ge
1 1 4
direct
0.000 0.000 0.000
0.500 0.500 0.500
0.215 0.785 0.500
0.271 0.271 0.000
0.729 0.729 0.000
0.785 0.215 0.500
```